# 1
For NaPrSe2, a structure optimized by DFT (PBE) gives the calculated X-ray diffraction stick pattern in this record (Cu Ka).
Intensities are scaled so that the largest is 100.

Structure:
Unit cell a=6.0001 b=6.0001 c=12.4654 alpha=90.00 beta=90.00 gamma=90.00
Space group I4_1/amd (No. 141, origin choice 2)
Unique sites:
Na  0.0000  0.2500  0.3750 [4 per cell]
Pr  0.0000  0.2500  0.8750 [4 per cell]
Se  0.0000  0.2500  0.1142 [8 per cell]

Peak list (6 most intense, 2θ = 10–90°, in order of rising 2θ)
two_theta	d [Å]	Rel. int.
16.4	5.406	65
28.6	3.116	53
29.8	3.000	100
41.8	2.161	76
42.6	2.121	37
52.2	1.754	39

=====

# 2
For NaSr2Pr3Se6, a structure optimized by DFT (PBE) gives the calculated X-ray diffraction stick pattern in this record (Cu Ka).
Intensities are scaled so that the largest is 100.

Structure:
Unit cell a=7.4278 b=12.8659 c=7.6162 alpha=90.00 beta=108.96 gamma=90.00
Space group C2/m (No. 12)
Unique sites:
Na  0.0000  0.0000  0.0000 [2 per cell]
Sr  0.0000  0.3334  0.0000 [4 per cell]
Pr  0.0000  0.1665  0.5000 [4 per cell]
Pr  0.0000  0.5000  0.5000 [2 per cell]
Se  0.2452  0.0000  0.7435 [4 per cell]
Se  0.2490  0.3346  0.7430 [8 per cell]

Peak list (6 most intense, 2θ = 10–90°, in order of rising 2θ)
two_theta	d [Å]	Rel. int.
29.2	3.061	100
41.3	2.185	38
42.1	2.144	36
52.1	1.756	19
68.0	1.379	17
69.1	1.359	16

=====

Q: Number 1 is which compound?
A: NaPrSe2